Sm4Ni2Hg5: computed powder X-ray diffraction pattern (a wavelength of 1.5418 Å), based on a crystal structure in Alexandria, relaxed with GGA-PBE.
Peak positions follow from Bragg's law for the DFT cell and can differ from measured ones.

a b c (Å): 7.6757 3.6826 9.4805
angles (deg): 90.00 93.27 90.00
Fractional positions:
Sm  0.1781  0.0000  0.3437
Sm  0.2239  0.0000  0.9346
Sm  0.7761  0.0000  0.0654
Sm  0.8219  0.0000  0.6563
Ni  0.0668  0.5000  0.1260
Ni  0.9332  0.5000  0.8740
Hg  0.1647  0.5000  0.6448
Hg  0.4426  0.5000  0.1689
Hg  0.5000  0.5000  0.5000
Hg  0.5574  0.5000  0.8311
Hg  0.8353  0.5000  0.3552

Largest 8 diffraction maxima, in order of falling intensity, 2θ = 15–90°:
2theta  I_rel  hkl
33.35  100  1 1 2
32.57  91  1 1 -2
35.84  80  2 0 -3
31.27  77  1 0 3
33.76  71  2 1 0
35.47  64  2 1 1
35.13  60  3 0 0
49.50  49  0 2 0